Theoretical powder diffraction line list
Compound: LaY12Tm3
Radiation: λ = 1.5418 Å (Cu Kα)
Structure: a DFT-relaxed cell (PBE, Alexandria)
No peak broadening, texture or thermal motion is included.

Most intense lines, 2θ = 10–90°, by angle:
2θ 17.57, I 7
2θ 24.94, I 6
2θ 30.67, I 100
2θ 35.57, I 50
2θ 51.18, I 35
2θ 60.78, I 13
2θ 60.90, I 27
2θ 63.88, I 12
2θ 83.43, I 11
2θ 86.21, I 10

Crystal structure
Lattice parameters (Å, degrees): 5.044 5.044 20.227 90.00 90.00 90.00
Sites, in units of the cell vectors:
La 0.000 0.000 0.000
Y 0.000 0.500 0.129
Y 0.000 0.500 0.376
Y 0.000 0.500 0.624
Y 0.000 0.500 0.871
Y 0.500 0.000 0.129
Y 0.500 0.000 0.376
Y 0.500 0.000 0.624
Y 0.500 0.000 0.871
Y 0.500 0.500 0.000
Y 0.500 0.500 0.253
Y 0.500 0.500 0.500
Y 0.500 0.500 0.747
Tm 0.000 0.000 0.252
Tm 0.000 0.000 0.500
Tm 0.000 0.000 0.748